No. 1
# AcLa3NdHo
Calculated powder diffraction line list, a wavelength of 1.5418 Å. Input: a GGA-PBE-relaxed structure.
Peak positions follow from Bragg's law for the DFT cell and can differ from measured ones.

Atomic structure:
abc: 21.148 5.989 7.113
angles: 90.00 91.40 90.00
Space group C2/m (No. 12)
One atom of each set of equivalent atoms:
Ac  0.149  0.000  0.033 (multiplicity 4)
La  0.015  0.000  0.748 (multiplicity 4)
La  0.159  0.500  0.748 (multiplicity 4)
La  0.219  0.500  0.283 (multiplicity 4)
Nd  0.057  0.500  0.282 (multiplicity 4)
Ho  0.141  0.000  0.493 (multiplicity 4)

Peak list (8 most intense, 5 to 70 degrees two-theta, in order of rising 2θ)
| 2θ/deg | I/Imax | hkl |
| --- | --- | --- |
| 28.50 | 42.2 | 5 1 -1 |
| 28.96 | 64.6 | 5 1 1 |
| 29.43 | 45.7 | 1 1 -2 |
| 29.84 | 100.0 | 0 2 0 |
| 31.65 | 65.6 | 3 1 -2 |
| 32.16 | 74.9 | 3 1 2 |
| 33.22 | 68.1 | 7 1 0 |
| 42.78 | 33.3 | 4 2 -2 |

No. 2
# La2Ta3Se2O8
Calculated powder diffraction line list, a wavelength of 1.5418 Å. Input: a GGA-PBE-relaxed structure.
Peak positions follow from Bragg's law for the DFT cell and can differ from measured ones.

Atomic structure:
abc: 10.030 12.086 7.720
angles: 90.00 90.00 90.00
Space group Pnnm (No. 58)
One atom of each set of equivalent atoms:
La  0.209  0.158  0.000 (multiplicity 4)
La  0.227  0.150  0.500 (multiplicity 4)
Ta  0.000  0.500  0.286 (multiplicity 4)
Ta  0.136  0.917  0.250 (multiplicity 8)
Se  0.019  0.338  0.500 (multiplicity 4)
Se  0.023  0.364  0.000 (multiplicity 4)
O  0.056  0.102  0.254 (multiplicity 8)
O  0.135  0.946  0.000 (multiplicity 4)
O  0.150  0.950  0.500 (multiplicity 4)
O  0.197  0.523  0.266 (multiplicity 8)
O  0.212  0.777  0.249 (multiplicity 8)

Peak list (8 most intense, 5 to 70 degrees two-theta, in order of rising 2θ)
| 2θ/deg | I/Imax | hkl |
| --- | --- | --- |
| 14.66 | 39.3 | 0 2 0 |
| 27.42 | 62.2 | 0 2 2 |
| 27.68 | 100.0 | 3 1 0 |
| 28.85 | 94.6 | 1 2 2 |
| 30.14 | 38.0 | 2 1 2 |
| 30.56 | 36.1 | 3 2 0 |
| 47.08 | 37.6 | 0 0 4 |
| 53.06 | 34.6 | 4 4 2 |

Repeat the first record exactly.
# AcLa3NdHo
Calculated powder diffraction line list, a wavelength of 1.5418 Å. Input: a GGA-PBE-relaxed structure.
Peak positions follow from Bragg's law for the DFT cell and can differ from measured ones.

Atomic structure:
abc: 21.148 5.989 7.113
angles: 90.00 91.40 90.00
Space group C2/m (No. 12)
One atom of each set of equivalent atoms:
Ac  0.149  0.000  0.033 (multiplicity 4)
La  0.015  0.000  0.748 (multiplicity 4)
La  0.159  0.500  0.748 (multiplicity 4)
La  0.219  0.500  0.283 (multiplicity 4)
Nd  0.057  0.500  0.282 (multiplicity 4)
Ho  0.141  0.000  0.493 (multiplicity 4)

Peak list (8 most intense, 5 to 70 degrees two-theta, in order of rising 2θ)
| 2θ/deg | I/Imax | hkl |
| --- | --- | --- |
| 28.50 | 42.2 | 5 1 -1 |
| 28.96 | 64.6 | 5 1 1 |
| 29.43 | 45.7 | 1 1 -2 |
| 29.84 | 100.0 | 0 2 0 |
| 31.65 | 65.6 | 3 1 -2 |
| 32.16 | 74.9 | 3 1 2 |
| 33.22 | 68.1 | 7 1 0 |
| 42.78 | 33.3 | 4 2 -2 |